Structure and theoretical PXRD pattern of Li3Sn2P3O12 (a cell relaxed with GGA-PBE; Cu Kα, 1.54184 Å).
Neutral-atom scattering factors, no anomalous dispersion.

Most intense lines, 10° ≤ 2θ ≤ 80°, in order of rising 2θ:
- 13.52°, intensity 1000
- 20.92°, intensity 297
- 22.90°, intensity 166
- 28.06°, intensity 959
- 36.65°, intensity 163
- 41.03°, intensity 179
- 41.36°, intensity 172
- 46.79°, intensity 175
- 53.45°, intensity 172
- 60.86°, intensity 156

Unit cell a=10.7730 b=10.7730 c=10.7730 alpha=46.43 beta=46.43 gamma=46.43
Positions (direct):
Li  0.0750  0.7751  0.3683
Li  0.2249  0.6317  0.9250
Li  0.3683  0.0750  0.7751
Li  0.6317  0.9250  0.2249
Li  0.7751  0.3683  0.0750
Li  0.9250  0.2249  0.6317
Sn  0.1769  0.1769  0.1769
Sn  0.3350  0.3350  0.3350
Sn  0.6650  0.6650  0.6650
Sn  0.8231  0.8231  0.8231
P  0.0514  0.4679  0.6970
P  0.3030  0.9486  0.5321
P  0.4679  0.6970  0.0514
P  0.5321  0.3030  0.9486
P  0.6970  0.0514  0.4679
P  0.9486  0.5321  0.3030
O  0.0207  0.6517  0.6629
O  0.1469  0.5285  0.2081
O  0.1516  0.2892  0.8231
O  0.1522  0.4905  0.4908
O  0.1769  0.8484  0.7108
O  0.2081  0.1469  0.5285
O  0.2892  0.8231  0.1516
O  0.3371  0.9793  0.3483
O  0.3483  0.3371  0.9793
O  0.4715  0.7919  0.8531
O  0.4905  0.4908  0.1522
O  0.4908  0.1522  0.4905
O  0.5092  0.8478  0.5095
O  0.5095  0.5092  0.8478
O  0.5285  0.2081  0.1469
O  0.6517  0.6629  0.0207
O  0.6629  0.0207  0.6517
O  0.7108  0.1769  0.8484
O  0.7919  0.8531  0.4715
O  0.8231  0.1516  0.2892
O  0.8478  0.5095  0.5092
O  0.8484  0.7108  0.1769
O  0.8531  0.4715  0.7919
O  0.9793  0.3483  0.3371